Entry 1:
For HfMnCo2H, a cell relaxed with PBE gives the simulated X-ray diffraction stick pattern in this record (a wavelength of 1.5418 Å).

Structural model:
```
HfMnCo2H
1.0
3.8897 0.0000 0.0000
0.0000 3.8897 0.0000
0.0000 0.0000 3.6470
Hf Mn Co H
1 1 2 1
direct
0.0000 0.0000 0.0000
0.5000 0.5000 0.0000
0.0000 0.5000 0.5000
0.5000 0.0000 0.5000
0.5000 0.5000 0.5000
```

Most intense lines, 2θ = 10–80°, most intense first:
2theta  d/Å  I (rel.)
41.11  2.196  100
46.71  1.945  35
22.86  3.890  25
33.69  2.660  20
70.84  1.330  19
50.02  1.823  14
68.19  1.375  11
32.56  2.750  9


Entry 2:
For Ho2CoH8, a cell relaxed with PBE gives the simulated X-ray diffraction stick pattern in this record (a wavelength of 1.5418 Å).

Structural model:
```
Ho2CoH8
1.0
6.6103 -1.7462 0.0000
6.6103 1.7462 0.0000
-1.2594 0.0000 3.8897
Ho Co H
2 1 8
direct
0.1440 0.1440 0.1437
0.8560 0.8560 0.8563
0.5000 0.5000 0.5000
0.9998 0.9998 0.2880
0.0002 0.0002 0.7120
0.2368 0.2368 0.7370
0.3994 0.3994 0.1648
0.3986 0.3986 0.6297
0.6014 0.6014 0.3703
0.6006 0.6006 0.8352
0.7632 0.7632 0.2630
```

Most intense lines, 2θ = 10–80°, most intense first:
2theta  d/Å  I (rel.)
30.54  2.927  100
33.75  2.655  88
33.39  2.683  77
56.60  1.626  35
55.88  1.645  32
22.87  3.888  29
44.67  2.029  29
61.87  1.500  26